For Na2CoNiF7, the PBE+U geometry in the Materials Project gives the simulated powder diffraction line list in this record (a wavelength of 1.5418 Å).

Structural model:
Unit cell a=7.3655 b=10.3870 c=7.3746 alpha=90.00 beta=90.00 gamma=90.00
Space group Imma (No. 74)
One atom of each set of equivalent atoms:
Na: 0.0000 0.0000 0.0000 x4
Na: 0.2500 0.2500 0.2500 x4
Co: 0.2500 0.2500 0.7500 x4
Ni: 0.0000 0.0000 0.5000 x4
F: 0.0000 0.0993 0.2672 x8
F: 0.0000 0.2500 0.8400 x4
F: 0.2102 0.1197 0.5728 x16

Principal peaks in the range 10 to 80 degrees two-theta, by angle:
| index | d_spacing | two_theta | Rel. int. |
| --- | --- | --- | --- |
| 0 1 1 | 6.013 | 14.7 | 30 |
| 1 0 1 | 5.211 | 17.0 | 19 |
| 1 2 1 | 3.679 | 24.2 | 17 |
| 2 1 1 | 3.139 | 28.4 | 26 |
| 0 2 2 | 3.005 | 29.7 | 100 |
| 4 0 0 | 1.842 | 49.5 | 21 |
| 2 4 2 | 1.839 | 49.6 | 43 |
| 2 2 4 | 1.571 | 58.8 | 31 |

***

For NaCoSeO6F, the PBE+U geometry in the Materials Project gives the simulated powder diffraction line list in this record (a wavelength of 1.5418 Å).

Structural model:
Unit cell a=5.8007 b=7.3687 c=7.2242 alpha=90.00 beta=110.82 gamma=90.00
Space group P2_1/m (No. 11)
One atom of each set of equivalent atoms:
Na: 0.1024 0.2500 0.1998 x2
Co: 0.5000 0.0000 0.0000 x2
Se: 0.3611 0.7500 0.3228 x2
O: 0.1539 0.7500 0.4320 x2
O: 0.2590 0.5534 0.8025 x4
O: 0.2916 0.5653 0.1628 x4
O: 0.3487 0.2500 0.5313 x2
F: 0.3568 0.2500 0.0029 x2

Principal peaks in the range 10 to 80 degrees two-theta, by angle:
| index | d_spacing | two_theta | Rel. int. |
| --- | --- | --- | --- |
| 0 0 1 | 6.752 | 13.1 | 32 |
| 1 0 0 | 5.422 | 16.3 | 100 |
| 0 1 1 | 4.978 | 17.8 | 41 |
| 1 0 1 | 3.642 | 24.4 | 38 |
| 1 1 1 | 3.265 | 27.3 | 41 |
| 0 2 1 | 3.234 | 27.6 | 61 |
| 0 1 2 | 3.069 | 29.1 | 30 |
| 1 2 -1 | 3.012 | 29.7 | 85 |

***

For RbNa2CoF6, the PBE+U geometry in the Materials Project gives the simulated powder diffraction line list in this record (a wavelength of 1.5418 Å).

Structural model:
Unit cell a=8.8355 b=8.8355 c=8.8355 alpha=90.00 beta=90.00 gamma=90.00
Space group Fm-3m (No. 225)
One atom of each set of equivalent atoms:
Rb: 0.0000 0.0000 0.0000 x4
Na: 0.2500 0.2500 0.2500 x8
Co: 0.0000 0.0000 0.5000 x4
F: 0.0000 0.0000 0.2895 x24

Principal peaks in the range 10 to 80 degrees two-theta, by angle:
| index | d_spacing | two_theta | Rel. int. |
| --- | --- | --- | --- |
| 2 0 0 | 4.418 | 20.1 | 92 |
| 2 2 0 | 3.124 | 28.6 | 100 |
| 4 0 0 | 2.209 | 40.9 | 58 |
| 4 2 0 | 1.976 | 45.9 | 29 |
| 4 2 2 | 1.804 | 50.6 | 33 |
| 4 4 0 | 1.562 | 59.2 | 30 |
| 6 0 0 | 1.473 | 63.1 | 13 |
| 6 2 0 | 1.397 | 67.0 | 22 |

***

For NaZr2CoF11, the PBE+U geometry in the Materials Project gives the simulated powder diffraction line list in this record (a wavelength of 1.5418 Å).

Structural model:
Unit cell a=9.2666 b=6.8171 c=7.9041 alpha=90.00 beta=116.16 gamma=90.00
Space group C2/m (No. 12)
One atom of each set of equivalent atoms:
Na: 0.0000 0.0000 0.0000 x2
Zr: 0.0060 0.5000 0.2363 x4
Co: 0.0000 0.0000 0.5000 x2
F: 0.0000 0.3286 0.0000 x4
F: 0.0000 0.5000 0.5000 x2
F: 0.0150 0.2048 0.3119 x8
F: 0.2324 0.5000 0.8900 x4
F: 0.2469 0.0000 0.6484 x4

Principal peaks in the range 10 to 80 degrees two-theta, by angle:
| index | d_spacing | two_theta | Rel. int. |
| --- | --- | --- | --- |
| 1 1 0 | 5.272 | 16.8 | 34 |
| 2 0 0 | 4.159 | 21.4 | 74 |
| 1 1 -2 | 3.415 | 26.1 | 100 |
| 4 0 0 | 2.079 | 43.5 | 22 |
| 2 0 -4 | 1.976 | 45.9 | 13 |
| 1 3 -2 | 1.970 | 46.1 | 27 |
| 5 1 -2 | 1.787 | 51.1 | 17 |
| 4 2 0 | 1.775 | 51.5 | 23 |

***

For Np2CoO8F10, the PBE+U geometry in the Materials Project gives the simulated powder diffraction line list in this record (a wavelength of 1.5418 Å).

Structural model:
Unit cell a=11.0499 b=6.7681 c=8.7056 alpha=90.00 beta=97.64 gamma=90.00
Space group P2_1/c (No. 14)
One atom of each set of equivalent atoms:
Np: 0.0644 0.1327 0.1934 x4
Co: 0.5000 0.0000 0.0000 x2
O: 0.3409 0.6478 0.0742 x4
O: 0.3661 0.0452 0.8760 x4
O: 0.3785 0.6961 0.6336 x4
O: 0.4491 0.2254 0.0631 x4
F: 0.0866 0.1927 0.4352 x4
F: 0.0933 0.0363 0.7173 x4
F: 0.0986 0.5740 0.5046 x4
F: 0.1121 0.6600 0.7928 x4
F: 0.2451 0.1536 0.2075 x4

Principal peaks in the range 10 to 80 degrees two-theta, by angle:
| index | d_spacing | two_theta | Rel. int. |
| --- | --- | --- | --- |
| 2 0 0 | 5.476 | 16.2 | 100 |
| 0 1 1 | 5.325 | 16.6 | 49 |
| 2 1 0 | 4.257 | 20.9 | 49 |
| 2 1 -1 | 3.985 | 22.3 | 78 |
| 1 0 2 | 3.843 | 23.1 | 86 |
| 1 1 -2 | 3.574 | 24.9 | 49 |
| 0 2 1 | 3.150 | 28.3 | 54 |
| 1 2 1 | 2.989 | 29.9 | 57 |

***

For Co2O3F, the PBE+U geometry in the Materials Project gives the simulated powder diffraction line list in this record (a wavelength of 1.5418 Å).

Structural model:
Unit cell a=6.0408 b=6.3034 c=5.9156 alpha=90.00 beta=90.00 gamma=90.00
Space group Cmcm (No. 63)
One atom of each set of equivalent atoms:
Co: 0.0000 0.0000 0.0000 x4
Co: 0.0000 0.4752 0.2500 x4
O: 0.0000 0.1915 0.2500 x4
O: 0.1944 0.5000 0.0000 x8
F: 0.0000 0.2196 0.7500 x4

Principal peaks in the range 10 to 80 degrees two-theta, by angle:
| index | d_spacing | two_theta | Rel. int. |
| --- | --- | --- | --- |
| 0 2 0 | 3.152 | 28.3 | 75 |
| 2 0 0 | 3.020 | 29.6 | 79 |
| 1 1 2 | 2.448 | 36.7 | 100 |
| 2 2 0 | 2.181 | 41.4 | 15 |
| 1 3 2 | 1.648 | 55.8 | 44 |
| 3 1 2 | 1.609 | 57.2 | 47 |
| 0 0 4 | 1.479 | 62.8 | 15 |
| 3 3 2 | 1.305 | 72.4 | 28 |

***

For Co3OF5, the PBE+U geometry in the Materials Project gives the simulated powder diffraction line list in this record (a wavelength of 1.5418 Å).

Structural model:
Unit cell a=3.1504 b=4.6977 c=14.1508 alpha=90.00 beta=90.00 gamma=90.00
Space group Pmn2_1 (No. 31)
One atom of each set of equivalent atoms:
Co: 0.0000 0.2212 0.0000 x2
Co: 0.0000 0.2295 0.3452 x2
Co: 0.0000 0.2741 0.6727 x2
O: 0.0000 0.9525 0.4380 x2
F: 0.0000 0.5316 0.2428 x2
F: 0.0000 0.5577 0.9026 x2
F: 0.0000 0.5751 0.5681 x2
F: 0.0000 0.9307 0.1100 x2
F: 0.0000 0.9538 0.7730 x2

Principal peaks in the range 10 to 80 degrees two-theta, by angle:
| index | d_spacing | two_theta | Rel. int. |
| --- | --- | --- | --- |
| 0 1 3 | 3.329 | 26.8 | 100 |
| 1 0 3 | 2.618 | 34.2 | 57 |
| 1 1 3 | 2.288 | 39.4 | 18 |
| 1 1 6 | 1.750 | 52.3 | 62 |
| 0 2 6 | 1.664 | 55.2 | 18 |
| 2 0 0 | 1.575 | 58.6 | 10 |
| 2 1 3 | 1.424 | 65.6 | 13 |
| 1 0 9 | 1.407 | 66.5 | 11 |